Diffraction record for Sm3Ga2Pd7. The PXRD pattern is theoretical, not measured: it uses a cell relaxed with PBE and Cu Kα.

Most intense lines, 2θ = 10–80°, in order of falling intensity:
(hkl)  2θ (°)  I (rel.)
1 5 1  34.41  100
1 7 1  37.63  54
1 11 1  46.13  34
2 0 0  43.43  32
0 0 2  44.66  29
2 0 2  64.06  20

Structure:
```
data_Sm3Ga2Pd7
_cell_length_a 4.167
_cell_length_b 29.401
_cell_length_c 4.058
_cell_angle_alpha 90.00
_cell_angle_beta 90.00
_cell_angle_gamma 90.00
_symmetry_space_group_name_H-M 'C m m m'
_symmetry_Int_Tables_number 65
_symmetry_space_group_name_Hall '-C 2 2'
loop_
_atom_site_label
_atom_site_type_symbol
_atom_site_fract_x
_atom_site_fract_y
_atom_site_fract_z
Sm1 Sm 0.000 0.000 0.000
Sm2 Sm 0.000 0.201 0.000
Ga1 Ga 0.000 0.417 0.500
Pd1 Pd 0.000 0.131 0.500
Pd2 Pd 0.000 0.288 0.500
Pd3 Pd 0.000 0.367 0.000
Pd4 Pd 0.000 0.500 0.500
```